Entry 1:
Diffraction record for KLi2Mo2O7. The powder X-ray diffraction pattern is simulated, not measured: it uses a DFT-relaxed cell (PBE+U, Alexandria) and copper Kα.
Kinematic intensities with the Lorentz-polarization factor, no thermal factor.

Main lines, by angle (2θ = 10–90°):
d [Å]  2θ/deg  intensity
4.936  17.97  100
4.679  18.97  73
4.240  20.95  39
3.578  24.89  46
2.946  30.34  53
2.905  30.78  47
2.468  36.40  19
1.685  54.45  17

Crystal structure
```
KLi2Mo2O7
1.0
2.905 1.677 8.480
-2.905 1.677 8.480
0.000 -3.354 8.480
K Li Mo O
1 2 2 7
Cartesian
0.000 0.000 0.000
0.000 0.000 6.730
0.000 0.000 18.709
0.000 0.000 10.814
0.000 0.000 14.625
-1.043 -1.340 10.206
-0.639 -1.573 15.233
-0.639 1.573 10.206
0.000 0.000 12.719
-1.043 1.340 15.233
1.682 -0.233 10.206
1.682 0.233 15.233
```

***

Entry 2:
Diffraction record for K2LiMoO4. The powder X-ray diffraction pattern is simulated, not measured: it uses a DFT-relaxed cell (PBE+U, Alexandria) and copper Kα.
Kinematic intensities with the Lorentz-polarization factor, no thermal factor.

Main lines, by angle (2θ = 10–90°):
d [Å]  2θ/deg  intensity
5.180  17.12  42
4.876  18.19  54
4.692  18.91  100
3.179  28.06  50
3.036  29.42  34
2.870  31.16  54
2.484  36.15  60
2.416  37.22  43

Crystal structure
```
K2LiMoO4
1.0
0.000 6.114 9.752
2.631 0.000 9.752
2.631 6.114 0.000
K Li Mo O
4 2 2 8
Cartesian
1.973 4.586 1.097
3.289 7.643 5.973
1.973 4.586 13.531
3.289 7.643 18.407
1.973 4.586 7.314
3.289 7.643 12.190
0.658 1.529 2.438
4.604 10.700 17.066
1.859 2.676 3.284
3.403 5.733 8.160
2.088 6.496 3.284
2.088 2.676 11.344
3.175 9.553 8.160
3.175 5.733 16.220
1.859 6.496 11.344
3.403 9.553 16.220
```